The following is a computed X-ray diffraction stick pattern of YSc3Co8. It was derived from DFT lattice parameters and positions (PBE), using Cu Kα (weighted mean of Kα1 and Kα2).

Main lines, low angle first (2θ = 10–90°):
- 36.4 deg, 2.466 Å, I = 24.5
- 43.0 deg, 2.103 Å, I = 100.0
- 45.0 deg, 2.013 Å, I = 43.4
- 70.1 deg, 1.342 Å, I = 20.8
- 77.4 deg, 1.234 Å, I = 11.8
- 77.5 deg, 1.232 Å, I = 12.0

Cell lengths 8.551, 8.551, 8.551 Å; angles 33.50, 33.50, 33.50 degrees
Fractional coordinates of all 12 atoms:
Y 0.000 0.000 0.000
Sc 0.377 0.377 0.377
Sc 0.500 0.500 0.500
Sc 0.873 0.873 0.873
Co 0.187 0.187 0.187
Co 0.437 0.437 0.934
Co 0.437 0.934 0.437
Co 0.443 0.938 0.938
Co 0.688 0.688 0.688
Co 0.934 0.437 0.437
Co 0.938 0.443 0.938
Co 0.938 0.938 0.443

---

The following is a computed X-ray diffraction stick pattern of Tm2Mg5Ag4. It was derived from DFT lattice parameters and positions (PBE), using Cu Kα (weighted mean of Kα1 and Kα2).

Main lines, low angle first (2θ = 10–90°):
- 14.2 deg, 6.235 Å, I = 49.7
- 27.1 deg, 3.295 Å, I = 42.5
- 30.6 deg, 2.920 Å, I = 41.6
- 32.4 deg, 2.762 Å, I = 100.0
- 39.8 deg, 2.263 Å, I = 62.3
- 43.8 deg, 2.067 Å, I = 67.0

Cell lengths 9.492, 7.730, 6.885 Å; angles 80.78, 53.50, 45.72 degrees
Fractional coordinates of all 11 atoms:
Tm 0.158 0.158 0.842
Tm 0.842 0.842 0.158
Mg 0.000 0.000 0.500
Mg 0.250 0.250 0.250
Mg 0.500 0.500 0.000
Mg 0.500 0.500 0.500
Mg 0.750 0.750 0.750
Ag 0.236 0.465 0.535
Ag 0.465 0.236 0.764
Ag 0.535 0.764 0.236
Ag 0.764 0.535 0.465

---

The following is a computed X-ray diffraction stick pattern of NpCu2P2Pt7. It was derived from DFT lattice parameters and positions (PBE), using Cu Kα (weighted mean of Kα1 and Kα2).

Main lines, low angle first (2θ = 10–90°):
- 35.1 deg, 2.557 Å, I = 100.0
- 36.8 deg, 2.441 Å, I = 81.9
- 38.7 deg, 2.324 Å, I = 54.2
- 40.5 deg, 2.226 Å, I = 41.2
- 43.5 deg, 2.078 Å, I = 31.8
- 45.8 deg, 1.981 Å, I = 97.4

Cell lengths 3.977, 3.977, 12.531 Å; angles 94.04, 94.04, 89.66 degrees
Fractional coordinates of all 12 atoms:
Np 0.000 0.000 0.000
Cu 0.075 0.075 0.342
Cu 0.925 0.925 0.658
P 0.433 0.433 0.702
P 0.567 0.567 0.298
Pt 0.039 0.539 0.186
Pt 0.264 0.264 0.532
Pt 0.461 0.961 0.814
Pt 0.500 0.500 0.000
Pt 0.539 0.039 0.186
Pt 0.736 0.736 0.468
Pt 0.961 0.461 0.814

---

The following is a computed X-ray diffraction stick pattern of TbHoTh2. It was derived from DFT lattice parameters and positions (PBE), using Cu Kα (weighted mean of Kα1 and Kα2).

Main lines, low angle first (2θ = 10–90°):
- 30.7 deg, 2.911 Å, I = 100.0
- 35.6 deg, 2.525 Å, I = 34.1
- 35.7 deg, 2.514 Å, I = 16.8
- 51.2 deg, 1.784 Å, I = 24.5
- 60.8 deg, 1.522 Å, I = 22.1
- 61.0 deg, 1.519 Å, I = 14.6

Cell lengths 5.044, 5.054, 10.058 Å; angles 90.00, 90.08, 90.00 degrees
Fractional coordinates of all 8 atoms:
Tb 0.000 0.250 0.129
Tb 0.000 0.750 0.871
Ho 0.500 0.250 0.871
Ho 0.500 0.750 0.129
Th 0.000 0.250 0.623
Th 0.000 0.750 0.377
Th 0.500 0.250 0.377
Th 0.500 0.750 0.623

---

The following is a computed X-ray diffraction stick pattern of CaB. It was derived from DFT lattice parameters and positions (PBE), using Cu Kα (weighted mean of Kα1 and Kα2).

Main lines, low angle first (2θ = 10–90°):
- 25.2 deg, 3.537 Å, I = 54.3
- 27.3 deg, 3.267 Å, I = 97.9
- 29.9 deg, 2.986 Å, I = 68.3
- 30.1 deg, 2.966 Å, I = 54.1
- 37.5 deg, 2.400 Å, I = 100.0
- 39.5 deg, 2.282 Å, I = 55.8

Cell lengths 7.805, 5.972, 7.074 Å; angles 90.00, 90.00, 90.00 degrees
Fractional coordinates of all 16 atoms:
Ca 0.115 0.250 0.211
Ca 0.195 0.250 0.716
Ca 0.305 0.750 0.216
Ca 0.385 0.750 0.711
Ca 0.615 0.250 0.289
Ca 0.695 0.250 0.784
Ca 0.805 0.750 0.284
Ca 0.885 0.750 0.789
B 0.060 0.612 0.492
B 0.060 0.888 0.492
B 0.440 0.112 0.992
B 0.440 0.388 0.992
B 0.560 0.612 0.008
B 0.560 0.888 0.008
B 0.940 0.112 0.508
B 0.940 0.388 0.508